No. 1
Diffraction record for Nd6Dy2ErMg. The X-ray powder pattern is simulated, not measured: it uses a cell relaxed with GGA-PBE and Cu Kα, 1.54184 Å.

Peak list (8 most intense, 2θ from 10° to 90°, low angle first)
| d/Å | 2theta | intensity |
| --- | --- | --- |
| 3.238 | 27.54 | 20 |
| 3.123 | 28.58 | 42 |
| 2.998 | 29.80 | 47 |
| 2.930 | 30.51 | 39 |
| 2.858 | 31.30 | 100 |
| 2.846 | 31.44 | 33 |
| 2.761 | 32.42 | 28 |
| 2.667 | 33.60 | 28 |

Atomic structure:
a = 8.8123 Å, b = 8.8123 Å, c = 9.6593 Å
α = 94.48°, β = 94.48°, γ = 116.14°
Sites, in units of the cell vectors:
Nd: 0.0006 0.5674 0.1940
Nd: 0.1223 0.7604 0.5504
Nd: 0.2396 0.8777 0.9496
Nd: 0.2965 0.4968 0.3880
Nd: 0.4326 0.9994 0.3060
Nd: 0.4968 0.2965 0.8880
Nd: 0.5032 0.7035 0.1120
Nd: 0.5674 0.0006 0.6940
Nd: 0.7035 0.5032 0.6120
Nd: 0.7604 0.1223 0.0504
Nd: 0.8777 0.2396 0.4496
Nd: 0.9994 0.4326 0.8060
Dy: 0.1977 0.2950 0.0524
Dy: 0.2950 0.1977 0.5524
Dy: 0.7050 0.8023 0.4476
Dy: 0.8023 0.7050 0.9476
Er: 0.0208 0.9792 0.2500
Er: 0.9792 0.0208 0.7500
Mg: 0.4088 0.5912 0.7500
Mg: 0.5912 0.4088 0.2500


No. 2
Diffraction record for Pr4Tm2Mg. The X-ray powder pattern is simulated, not measured: it uses a cell relaxed with GGA-PBE and Cu Kα, 1.54184 Å.

Peak list (8 most intense, 2θ from 10° to 90°, low angle first)
| d/Å | 2theta | intensity |
| --- | --- | --- |
| 3.643 | 24.43 | 37 |
| 3.077 | 29.02 | 61 |
| 2.950 | 30.30 | 60 |
| 2.819 | 31.74 | 100 |
| 2.732 | 32.78 | 41 |
| 2.621 | 34.21 | 98 |
| 2.495 | 35.99 | 33 |
| 1.753 | 52.18 | 26 |

Atomic structure:
a = 5.9779 Å, b = 3.6887 Å, c = 11.0700 Å
α = 90.00°, β = 99.16°, γ = 90.00°
Sites, in units of the cell vectors:
Pr: 0.0464 0.0000 0.2061
Pr: 0.4374 0.5000 0.7474
Pr: 0.5626 0.5000 0.2526
Pr: 0.9536 0.0000 0.7939
Tm: 0.0000 0.5000 0.5000
Tm: 0.5000 0.0000 0.5000
Mg: 0.5000 0.0000 0.0000


No. 3
Diffraction record for CdFeSn. The X-ray powder pattern is simulated, not measured: it uses a cell relaxed with GGA-PBE and Cu Kα, 1.54184 Å.

Peak list (8 most intense, 2θ from 10° to 90°, low angle first)
| d/Å | 2theta | intensity |
| --- | --- | --- |
| 3.217 | 27.73 | 23 |
| 3.028 | 29.50 | 48 |
| 2.739 | 32.69 | 21 |
| 2.205 | 40.94 | 100 |
| 2.141 | 42.20 | 58 |
| 1.782 | 51.26 | 18 |
| 1.514 | 61.21 | 25 |
| 1.248 | 76.31 | 31 |

Atomic structure:
a = 12.8665 Å, b = 4.2838 Å, c = 4.2795 Å
α = 90.00°, β = 90.00°, γ = 90.00°
Sites, in units of the cell vectors:
Cd: 0.1457 0.0000 0.0000
Cd: 0.1457 0.5000 0.5000
Cd: 0.8543 0.0000 0.0000
Cd: 0.8543 0.5000 0.5000
Fe: 0.0000 0.0000 0.5003
Fe: 0.0000 0.5000 0.0003
Fe: 0.5000 0.0000 0.5025
Fe: 0.5000 0.5000 0.0025
Sn: 0.3720 0.0000 0.0026
Sn: 0.3720 0.5000 0.5026
Sn: 0.6280 0.0000 0.0026
Sn: 0.6280 0.5000 0.5026


Copy entry 3 word for word.
Diffraction record for CdFeSn. The X-ray powder pattern is simulated, not measured: it uses a cell relaxed with GGA-PBE and Cu Kα, 1.54184 Å.

Peak list (8 most intense, 2θ from 10° to 90°, low angle first)
| d/Å | 2theta | intensity |
| --- | --- | --- |
| 3.217 | 27.73 | 23 |
| 3.028 | 29.50 | 48 |
| 2.739 | 32.69 | 21 |
| 2.205 | 40.94 | 100 |
| 2.141 | 42.20 | 58 |
| 1.782 | 51.26 | 18 |
| 1.514 | 61.21 | 25 |
| 1.248 | 76.31 | 31 |

Atomic structure:
a = 12.8665 Å, b = 4.2838 Å, c = 4.2795 Å
α = 90.00°, β = 90.00°, γ = 90.00°
Sites, in units of the cell vectors:
Cd: 0.1457 0.0000 0.0000
Cd: 0.1457 0.5000 0.5000
Cd: 0.8543 0.0000 0.0000
Cd: 0.8543 0.5000 0.5000
Fe: 0.0000 0.0000 0.5003
Fe: 0.0000 0.5000 0.0003
Fe: 0.5000 0.0000 0.5025
Fe: 0.5000 0.5000 0.0025
Sn: 0.3720 0.0000 0.0026
Sn: 0.3720 0.5000 0.5026
Sn: 0.6280 0.0000 0.0026
Sn: 0.6280 0.5000 0.5026